Starting from a cell relaxed with GGA-PBE, the powder diffractogram of AlH3O3 was simulated for Cu Kα.
Lines closer than 0.1° are merged.

Peak list (6 most intense, 2θ = 5–70°, low angle first)
- (1 0 0), 2θ = 18.71°, I 100
- (0 1 -1), 2θ = 20.14°, I 65
- (-1 1 1), 2θ = 36.75°, I 20
- (1 2 -1), 2θ = 40.92°, I 41
- (1 -1 2), 2θ = 42.75°, I 40
- (-2 1 1), 2θ = 47.19°, I 26

Structural model:
```
AlH3O3
1.0
4.836 0.000 0.000
-0.227 5.096 0.000
-0.748 -2.526 4.405
Al H O
2 6 6
direct
0.000 0.000 0.000
0.001 0.668 0.341
0.196 0.184 0.528
0.399 0.402 0.072
0.401 0.709 0.782
0.595 0.947 0.564
0.626 0.248 0.316
0.812 0.485 0.821
0.201 0.371 0.084
0.209 0.740 0.720
0.228 0.001 0.350
0.775 0.670 0.993
0.787 0.295 0.243
0.793 0.929 0.620
```